No. 1
The following is a simulated PXRD pattern of Tb3HoTm3. It was derived from a structure optimized by DFT (GGA-PBE), using Cu Kα (λ = 1.5418 Å).
Kinematic intensities with the Lorentz-polarization factor, no thermal factor.

Cell and atoms:
Cell: 9.4871 9.4871 5.6012 Å, 90.00 90.00 120.00°
Space group P6_3/m (No. 176)
Unique sites:
Tb (0.0480, 0.2400, 0.2500) [6 per cell]
Ho (0.3333, 0.6667, 0.2500) [2 per cell]
Tm (0.0949, 0.4767, 0.7500) [6 per cell]

Main lines, most intense first (10 to 90 degrees two-theta):
index	two_theta	d [Å]	I (rel.)
2 1 1	33.0	2.716	100
0 0 2	32.0	2.801	24
2 1 0	28.7	3.105	24
1 4 2	61.4	1.510	23
2 1 3	57.6	1.600	21
1 4 0	50.9	1.793	20
4 2 1	62.0	1.496	16
2 1 2	43.5	2.080	16
7 0 1	84.3	1.149	14
1 4 4	88.6	1.104	9

***

No. 2
The following is a simulated PXRD pattern of TbHo6Tm6. It was derived from a structure optimized by DFT (GGA-PBE), using Cu Kα (λ = 1.5418 Å).
Kinematic intensities with the Lorentz-polarization factor, no thermal factor.

Cell and atoms:
Cell: 6.497 10.860 6.499 Å, 90.00 115.38 90.00°
Space group P2/m (No. 10)
Unique sites:
Tb (0.000, 0.000, 0.000) [1 per cell]
Ho (0.000, 0.333, 0.000) [2 per cell]
Ho (0.263, 0.500, 0.738) [2 per cell]
Ho (0.354, 0.000, 0.642) [2 per cell]
Tm (0.000, 0.226, 0.500) [2 per cell]
Tm (0.500, 0.225, 0.000) [2 per cell]
Tm (0.500, 0.302, 0.500) [2 per cell]

Main lines, most intense first (10 to 90 degrees two-theta):
index	two_theta	d [Å]	I (rel.)
2 2 0	34.7	2.582	100
1 3 -1	29.6	3.022	76
0 0 2	30.5	2.935	49
1 2 1	30.6	2.926	42
2 0 -2	32.6	2.746	39
1 3 1	35.8	2.506	30
2 2 -1	32.2	2.782	29
0 4 0	33.0	2.715	27
1 5 -3	60.5	1.529	24
2 0 2	52.7	1.737	22

***

No. 3
The following is a simulated PXRD pattern of Tb2Ho5Tm4. It was derived from a structure optimized by DFT (GGA-PBE), using Cu Kα (λ = 1.5418 Å).
Kinematic intensities with the Lorentz-polarization factor, no thermal factor.

Cell and atoms:
Cell: 16.176 5.582 9.193 Å, 90.00 124.37 90.00°
Space group C2/m (No. 12)
Unique sites:
Tb (0.090, 0.000, 0.251) [4 per cell]
Ho (0.000, 0.000, 0.500) [2 per cell]
Ho (0.158, 0.500, 0.563) [4 per cell]
Ho (0.212, 0.500, 0.249) [4 per cell]
Tm (0.052, 0.500, 0.800) [4 per cell]
Tm (0.185, 0.000, 0.988) [4 per cell]

Main lines, most intense first (10 to 90 degrees two-theta):
index	two_theta	d [Å]	I (rel.)
3 1 1	32.7	2.738	100
5 1 -2	32.3	2.770	71
0 2 0	32.1	2.791	57
3 1 -3	33.4	2.686	38
2 0 -3	29.9	2.989	32
2 2 -3	44.4	2.040	22
3 3 1	57.6	1.601	20
6 0 2	58.8	1.570	15
5 3 -2	57.3	1.607	15
5 1 -6	63.3	1.469	15

***

No. 4
The following is a simulated PXRD pattern of Tb2Ho3Tm9. It was derived from a structure optimized by DFT (GGA-PBE), using Cu Kα (λ = 1.5418 Å).
Kinematic intensities with the Lorentz-polarization factor, no thermal factor.

Cell and atoms:
Cell: 6.128 8.589 8.621 Å, 79.34 77.50 87.08°
Space group P-1 (No. 2)
Unique sites:
Tb (0.047, 0.031, 0.298) [2 per cell]
Ho (0.246, 0.619, 0.728) [2 per cell]
Ho (0.500, 0.000, 0.000) [1 per cell]
Tm (0.010, 0.750, 0.084) [2 per cell]
Tm (0.154, 0.333, 0.507) [2 per cell]
Tm (0.311, 0.383, 0.103) [2 per cell]
Tm (0.409, 0.686, 0.305) [2 per cell]
Tm (0.500, 0.000, 0.500) [1 per cell]

Main lines, most intense first (10 to 90 degrees two-theta):
index	two_theta	d [Å]	I (rel.)
1 1 -2	31.9	2.808	100
1 1 3	32.5	2.754	39
-1 2 2	33.5	2.673	32
2 2 1	35.2	2.553	31
2 -1 1	32.2	2.780	26
1 -2 2	34.3	2.611	22
0 3 1	31.7	2.823	21
2 -4 0	53.4	1.715	13
-3 3 2	63.1	1.473	13
3 0 -1	49.2	1.852	8

***

No. 5
The following is a simulated PXRD pattern of Tb4HoTm5. It was derived from a structure optimized by DFT (GGA-PBE), using Cu Kα (λ = 1.5418 Å).
Kinematic intensities with the Lorentz-polarization factor, no thermal factor.

Cell and atoms:
Cell: 3.522 6.691 13.763 Å, 97.61 90.73 104.86°
Space group P-1 (No. 2)
Unique sites:
Tb (0.131, 0.208, 0.307) [2 per cell]
Tb (0.167, 0.323, 0.714) [2 per cell]
Ho (0.000, 0.500, 0.500) [1 per cell]
Tm (0.190, 0.376, 0.083) [2 per cell]
Tm (0.468, 0.920, 0.113) [2 per cell]
Tm (0.500, 0.000, 0.500) [1 per cell]

Main lines, most intense first (10 to 90 degrees two-theta):
index	two_theta	d [Å]	I (rel.)
0 2 2	32.5	2.752	100
0 0 5	32.9	2.725	99
0 2 -3	31.9	2.809	66
-1 1 2	29.7	3.005	34
1 0 -3	32.1	2.788	22
0 4 -1	57.0	1.616	21
1 -2 0	33.1	2.710	20
1 -1 8	60.2	1.538	19
1 1 5	49.6	1.838	17
2 -3 3	62.6	1.484	16

***

No. 6
The following is a simulated PXRD pattern of TbHo4Tm5. It was derived from a structure optimized by DFT (GGA-PBE), using Cu Kα (λ = 1.5418 Å).
Kinematic intensities with the Lorentz-polarization factor, no thermal factor.

Cell and atoms:
Cell: 5.356 6.944 8.648 Å, 89.98 72.01 90.00°
Space group P1 (No. 1)
Unique sites:
Tb (0.000, 0.000, 0.000) [1 per cell]
Ho (0.200, 0.999, 0.600) [1 per cell]
Ho (0.390, 0.748, 0.219) [1 per cell]
Ho (0.610, 0.748, 0.781) [1 per cell]
Ho (0.801, 0.498, 0.399) [1 per cell]
Tm (0.000, 0.498, 0.000) [1 per cell]
Tm (0.199, 0.498, 0.602) [1 per cell]
Tm (0.390, 0.249, 0.220) [1 per cell]
Tm (0.610, 0.250, 0.780) [1 per cell]
Tm (0.800, 0.000, 0.399) [1 per cell]

Main lines, most intense first (10 to 90 degrees two-theta):
index	two_theta	d [Å]	I (rel.)
1 0 3	31.9	2.803	100
1 2 0	31.2	2.869	88
2 0 1	33.5	2.678	46
0 2 2	33.8	2.653	42
1 4 3	63.0	1.476	34
-2 2 1	48.3	1.885	31
1 2 5	59.7	1.548	18
3 0 4	58.8	1.569	18
1 2 -1	34.9	2.573	17
0 2 -3	42.0	2.152	16

***

No. 7
The following is a simulated PXRD pattern of TbHo5Tm2. It was derived from a structure optimized by DFT (GGA-PBE), using Cu Kα (λ = 1.5418 Å).
Kinematic intensities with the Lorentz-polarization factor, no thermal factor.

Cell and atoms:
Cell: 8.595 3.517 8.603 Å, 90.00 109.71 90.00°
Space group P2/m (No. 10)
Unique sites:
Tb (0.000, 0.000, 0.000) [1 per cell]
Ho (0.125, 0.500, 0.375) [2 per cell]
Ho (0.251, 0.000, 0.751) [2 per cell]
Ho (0.500, 0.000, 0.500) [1 per cell]
Tm (0.376, 0.500, 0.125) [2 per cell]

Main lines, most intense first (10 to 90 degrees two-theta):
index	two_theta	d [Å]	I (rel.)
1 1 1	31.2	2.867	100
2 1 -2	36.1	2.486	34
5 1 -3	61.9	1.499	29
4 1 0	52.1	1.754	24
2 0 2	36.3	2.475	17
5 0 1	62.1	1.494	14
2 2 2	65.1	1.433	12
0 2 0	52.0	1.758	12
5 2 1	85.3	1.138	12
6 1 -6	87.8	1.112	8

***

No. 8
The following is a simulated PXRD pattern of Tb2HoTm7. It was derived from a structure optimized by DFT (GGA-PBE), using Cu Kα (λ = 1.5418 Å).
Kinematic intensities with the Lorentz-polarization factor, no thermal factor.

Cell and atoms:
Cell: 6.058 6.066 9.254 Å, 102.63 109.03 99.61°
Space group P-1 (No. 2)
Unique sites:
Tb (0.199, 0.000, 0.399) [2 per cell]
Ho (0.000, 0.000, 0.000) [1 per cell]
Tm (0.000, 0.500, 0.500) [1 per cell]
Tm (0.201, 0.501, 0.900) [2 per cell]
Tm (0.400, 0.500, 0.299) [2 per cell]
Tm (0.401, 0.000, 0.801) [2 per cell]

Main lines, most intense first (10 to 90 degrees two-theta):
index	two_theta	d [Å]	I (rel.)
1 0 2	31.3	2.857	100
2 1 -1	36.3	2.474	51
3 1 1	62.2	1.492	39
1 2 2	52.3	1.750	36
2 2 4	85.5	1.136	15
5 0 0	88.3	1.107	13
2 0 4	65.3	1.429	12
5 1 -5	88.4	1.106	4
4 2 -2	77.1	1.237	4
2 0 -6	62.3	1.491	4

***

No. 9
The following is a simulated PXRD pattern of Tb8HoTm4. It was derived from a structure optimized by DFT (GGA-PBE), using Cu Kα (λ = 1.5418 Å).
Kinematic intensities with the Lorentz-polarization factor, no thermal factor.

Cell and atoms:
Cell: 7.1918 7.1918 27.5257 Å, 90.00 90.00 120.00°
Space group R-3m (No. 166, hexagonal axes)
Unique sites:
Tb (0.0000, 0.0000, 0.2147) [6 per cell]
Tb (0.0329, 0.5164, 0.7656) [18 per cell]
Ho (0.0000, 0.0000, 0.5000) [3 per cell]
Tm (0.0000, 0.0000, 0.0000) [3 per cell]
Tm (0.0000, 0.5000, 0.0000) [9 per cell]

Main lines, most intense first (10 to 90 degrees two-theta):
index	two_theta	d [Å]	I (rel.)
0 2 4	31.5	2.837	100
2 0 5	33.0	2.711	35
2 0 8	39.0	2.309	30
2 2 0	50.8	1.798	28
0 0 9	29.2	3.058	26
2 2 9	59.7	1.550	18
0 2 1	28.9	3.094	15
0 2 13	52.2	1.751	14
4 0 4	61.0	1.519	13
2 4 4	83.3	1.160	12

***

No. 10
The following is a simulated PXRD pattern of Tb6HoTm6. It was derived from a structure optimized by DFT (GGA-PBE), using Cu Kα (λ = 1.5418 Å).
Kinematic intensities with the Lorentz-polarization factor, no thermal factor.

Cell and atoms:
Cell: 6.6127 6.6127 11.2243 Å, 90.00 90.00 120.00°
Space group P6/mmm (No. 191)
Unique sites:
Tb (0.0000, 0.0000, 0.1569) [2 per cell]
Tb (0.3333, 0.6667, 0.0000) [2 per cell]
Tb (0.3333, 0.6667, 0.5000) [2 per cell]
Ho (0.0000, 0.0000, 0.5000) [1 per cell]
Tm (0.0000, 0.5000, 0.2566) [6 per cell]

Main lines, most intense first (10 to 90 degrees two-theta):
index	two_theta	d [Å]	I (rel.)
2 0 2	35.2	2.551	100
1 1 2	31.4	2.849	83
2 0 0	31.2	2.863	57
2 2 0	55.6	1.653	37
1 1 0	27.0	3.306	36
0 0 4	31.9	2.806	32
1 1 6	56.5	1.628	31
1 0 4	35.6	2.520	29
1 0 3	28.5	3.132	28
2 2 4	65.5	1.424	25

***

No. 11
The following is a simulated PXRD pattern of TbHo15Tm4. It was derived from a structure optimized by DFT (GGA-PBE), using Cu Kα (λ = 1.5418 Å).
Kinematic intensities with the Lorentz-polarization factor, no thermal factor.

Cell and atoms:
Cell: 4.965 4.965 24.821 Å, 90.00 90.00 90.00°
Space group P4/mmm (No. 123)
Unique sites:
Tb (0.000, 0.000, 0.000) [1 per cell]
Ho (0.000, 0.500, 0.101) [4 per cell]
Ho (0.000, 0.500, 0.300) [4 per cell]
Ho (0.000, 0.500, 0.500) [2 per cell]
Ho (0.500, 0.500, 0.000) [1 per cell]
Ho (0.500, 0.500, 0.201) [2 per cell]
Ho (0.500, 0.500, 0.400) [2 per cell]
Tm (0.000, 0.000, 0.200) [2 per cell]
Tm (0.000, 0.000, 0.400) [2 per cell]

Main lines, most intense first (10 to 90 degrees two-theta):
index	two_theta	d [Å]	I (rel.)
1 1 5	31.2	2.866	100
2 0 0	36.2	2.482	51
3 1 5	62.0	1.497	43
2 2 0	52.1	1.755	36
3 3 5	85.2	1.139	18
4 2 0	88.0	1.110	17
2 2 10	65.1	1.433	12
4 0 0	76.8	1.241	6

***

No. 12
The following is a simulated PXRD pattern of Tb5Ho5Tm. It was derived from a structure optimized by DFT (GGA-PBE), using Cu Kα (λ = 1.5418 Å).
Kinematic intensities with the Lorentz-polarization factor, no thermal factor.

Cell and atoms:
Cell: 6.818 6.820 8.508 Å, 74.91 75.10 69.96°
Space group P-1 (No. 2)
Unique sites:
Tb (0.000, 0.000, 0.000) [1 per cell]
Tb (0.148, 0.145, 0.363) [2 per cell]
Tb (0.320, 0.311, 0.636) [2 per cell]
Ho (0.000, 0.500, 0.000) [1 per cell]
Ho (0.223, 0.649, 0.276) [2 per cell]
Ho (0.351, 0.771, 0.729) [2 per cell]
Tm (0.500, 0.000, 0.000) [1 per cell]

Main lines, most intense first (10 to 90 degrees two-theta):
index	two_theta	d [Å]	I (rel.)
2 0 2	32.6	2.743	100
2 0 -1	32.4	2.762	100
2 2 1	32.0	2.793	61
0 0 3	33.3	2.691	32
2 -2 0	46.5	1.953	28
1 1 -2	31.8	2.812	24
1 -1 1	25.3	3.519	20
4 0 1	57.6	1.601	19
1 1 3	32.2	2.780	18
4 2 0	57.2	1.610	16

***

No. 13
The following is a simulated PXRD pattern of Tb4Ho10Tm. It was derived from a structure optimized by DFT (GGA-PBE), using Cu Kα (λ = 1.5418 Å).
Kinematic intensities with the Lorentz-polarization factor, no thermal factor.

Cell and atoms:
Cell: 12.067 12.067 7.626 Å, 90.00 90.00 90.00°
Space group I4/m (No. 87)
Unique sites:
Tb (0.101, 0.299, 0.000) [8 per cell]
Ho (0.000, 0.500, 0.250) [4 per cell]
Ho (0.099, 0.800, 0.251) [16 per cell]
Tm (0.000, 0.000, 0.500) [2 per cell]

Main lines, most intense first (10 to 90 degrees two-theta):
index	two_theta	d [Å]	I (rel.)
4 2 0	33.2	2.698	100
7 1 2	59.3	1.557	38
2 1 1	20.2	4.405	25
2 6 0	47.7	1.908	18
10 0 0	79.4	1.206	16
1 3 0	23.3	3.815	14
5 0 1	39.2	2.301	14
8 4 0	69.7	1.349	12
6 3 1	52.3	1.750	6
7 1 0	53.7	1.706	6